No. 1
Diffraction record for SmMg4Pd15. The powder X-ray diffraction pattern is theoretical, not measured: it uses a DFT-relaxed cell (PBE, Alexandria) and Cu Kα X-rays.
Neutral-atom scattering factors, no anomalous dispersion.

Principal peaks in the range 2θ = 10–90°, by intensity:
Position (°2θ), I/Imax
38.87, 100
44.98, 34
78.85, 24
65.98, 18
45.60, 14
65.50, 11
83.43, 9
79.75, 9

Structural model:
Cell lengths 4.031, 4.031, 19.895 Å; angles 90.00, 90.00, 90.00 degrees
Space group P4/mmm (No. 123)
Asymmetric unit:
Sm (0.000, 0.000, 0.000)
Mg (0.000, 0.000, 0.208)
Mg (0.000, 0.000, 0.402)
Pd (0.000, 0.500, 0.109)
Pd (0.000, 0.500, 0.305)
Pd (0.000, 0.500, 0.500)
Pd (0.500, 0.500, 0.000)
Pd (0.500, 0.500, 0.207)
Pd (0.500, 0.500, 0.403)


No. 2
Diffraction record for NaPm6Te8. The powder X-ray diffraction pattern is theoretical, not measured: it uses a DFT-relaxed cell (PBE, Alexandria) and Cu Kα X-rays.
Neutral-atom scattering factors, no anomalous dispersion.

Principal peaks in the range 2θ = 10–90°, by intensity:
Position (°2θ), I/Imax
28.32, 100
40.49, 76
66.33, 35
50.15, 27
73.64, 25
58.59, 13
14.05, 10
19.92, 9

Structural model:
Cell lengths 12.604, 12.604, 12.604 Å; angles 90.00, 90.00, 90.00 degrees
Space group Fm-3m (No. 225)
Asymmetric unit:
Na (0.000, 0.000, 0.000)
Pm (0.000, 0.250, 0.250)
Te (0.000, 0.000, 0.255)
Te (0.250, 0.250, 0.250)


No. 3
Diffraction record for Tm7Ga5Hg. The powder X-ray diffraction pattern is theoretical, not measured: it uses a DFT-relaxed cell (PBE, Alexandria) and Cu Kα X-rays.
Neutral-atom scattering factors, no anomalous dispersion.

Principal peaks in the range 2θ = 10–90°, by intensity:
Position (°2θ), I/Imax
35.41, 100
38.66, 64
30.55, 58
28.97, 49
30.15, 36
63.59, 34
35.22, 26
34.04, 24

Structural model:
Cell lengths 6.165, 9.974, 10.141 Å; angles 90.00, 90.00, 90.00 degrees
Space group Imm2 (No. 44)
Asymmetric unit:
Tm (0.000, 0.000, 0.000)
Tm (0.000, 0.000, 0.367)
Tm (0.000, 0.320, 0.653)
Tm (0.000, 0.322, 0.127)
Tm (0.000, 0.500, 0.377)
Ga (0.000, 0.500, 0.887)
Ga (0.245, 0.245, 0.893)
Hg (0.000, 0.000, 0.682)


No. 4
Diffraction record for CaPrPdPt. The powder X-ray diffraction pattern is theoretical, not measured: it uses a DFT-relaxed cell (PBE, Alexandria) and Cu Kα X-rays.
Neutral-atom scattering factors, no anomalous dispersion.

Principal peaks in the range 2θ = 10–90°, by intensity:
Position (°2θ), I/Imax
35.51, 100
63.76, 36
51.09, 18
21.52, 16
85.98, 16
75.16, 11
41.90, 9
24.90, 7

Structural model:
Cell lengths 7.151, 7.151, 7.151 Å; angles 90.00, 90.00, 90.00 degrees
Space group F-43m (No. 216)
Asymmetric unit:
Ca (0.000, 0.000, 0.000)
Pr (0.000, 0.000, 0.500)
Pd (0.250, 0.250, 0.750)
Pt (0.250, 0.250, 0.250)


No. 5
Diffraction record for TbMgZn2Au4. The powder X-ray diffraction pattern is theoretical, not measured: it uses a DFT-relaxed cell (PBE, Alexandria) and Cu Kα X-rays.
Neutral-atom scattering factors, no anomalous dispersion.

Principal peaks in the range 2θ = 10–90°, by intensity:
Position (°2θ), I/Imax
39.18, 100
36.93, 95
26.67, 41
54.93, 30
69.53, 30
71.01, 17
34.02, 17
70.52, 13

Structural model:
Cell lengths 4.5981, 4.5981, 24.6071 Å; angles 90.00, 90.00, 120.00 degrees
Space group R-3m (No. 166, hexagonal axes)
Asymmetric unit:
Tb (0.0000, 0.0000, 0.0000)
Mg (0.0000, 0.0000, 0.5000)
Zn (0.0000, 0.0000, 0.2474)
Au (0.0000, 0.0000, 0.1277)
Au (0.0000, 0.0000, 0.3901)


No. 6
Diffraction record for CaGe2Pd7. The powder X-ray diffraction pattern is theoretical, not measured: it uses a DFT-relaxed cell (PBE, Alexandria) and Cu Kα X-rays.
Neutral-atom scattering factors, no anomalous dispersion.

Principal peaks in the range 2θ = 10–90°, by intensity:
Position (°2θ), I/Imax
40.94, 100
44.11, 56
78.96, 28
64.15, 22
30.79, 21
47.56, 18
35.61, 16
72.86, 16

Structural model:
Cell lengths 4.106, 4.106, 20.319 Å; angles 90.00, 90.00, 90.00 degrees
Space group I4/mmm (No. 139)
Asymmetric unit:
Ca (0.000, 0.000, 0.000)
Ge (0.000, 0.000, 0.326)
Pd (0.000, 0.000, 0.500)
Pd (0.000, 0.500, 0.105)
Pd (0.000, 0.500, 0.250)